The following is a theoretical PXRD pattern of Na3Ga3Si3O16. It was derived from a GGA-PBE-relaxed structure, using Cu Kα, 1.54184 Å.
Kinematic intensities with the Lorentz-polarization factor, no thermal factor.

The 6 most intense peaks (2θ from 5° to 70°), sorted by position:
- 2θ 13.63, 6.495 Å, I = 62
- 2θ 13.82, 6.407 Å, I = 24
- 2θ 19.46, 4.561 Å, I = 30
- 2θ 23.84, 3.733 Å, I = 100
- 2θ 24.17, 3.683 Å, I = 56
- 2θ 33.88, 2.646 Å, I = 66

```
50
Lattice="6.4951 3.7500 5.1969 -6.4951 3.7500 5.1969 0.0000 -7.4999 5.1969" Properties=species:S:1:pos:R:3 pbc="T T T"
Na -4.1099 -2.3383 7.7954
Na -0.0300 -2.7715 5.1969
Na -2.3852 1.4117 5.1969
Na 2.4152 1.3598 5.1969
Na 4.0800 -2.3902 7.7954
Na 0.0300 4.7284 7.7954
Ga -4.8844 1.0242 7.4636
Ga 1.5552 -4.7421 7.4636
Ga -1.6108 -2.7258 10.0621
Ga -1.5552 2.7579 10.0621
Ga 3.1660 -0.0321 10.0621
Ga 3.3291 3.7179 7.4636
Si -1.6361 -4.6955 7.4848
Si -3.2484 3.7646 7.4847
Si -3.2468 0.0146 10.0832
Si 1.6107 -2.8191 10.0832
Si 4.8844 0.9308 7.4848
Si 1.6361 2.8045 10.0832
O -4.6630 -0.5223 6.4663
O -0.1195 -2.1609 2.2108
O -2.7484 -3.8368 6.6307
O -1.8116 1.1839 2.2108
O -0.1458 -4.2912 6.9079
O -1.8321 -4.2723 9.0648
O -3.6434 2.2718 6.9079
O -4.5465 0.5486 9.2291
O -1.1868 -0.6327 6.1747
O -2.8518 -1.4781 9.5064
O 1.9311 0.9770 2.2108
O 0.0000 0.0000 6.2653
O 1.1414 -0.7114 6.1748
O 0.0454 1.3442 6.1748
O 2.7839 -3.7771 6.4663
O -1.9486 4.2986 6.6307
O -2.7839 3.7228 9.0648
O -1.9311 0.9769 10.0062
O 1.7982 -4.2117 9.2291
O 0.1195 -2.1609 10.0062
O 2.7060 -1.7306 9.5064
O 1.8791 4.2995 6.4663
O 0.1458 3.2088 9.5064
O 4.6970 -0.4617 6.6307
O -1.1414 -0.7114 13.9702
O 3.7891 2.0194 6.9079
O 1.8116 1.1839 10.0062
O 0.0000 0.0000 14.0607
O -0.0454 1.3442 13.9702
O 1.1868 -0.6327 13.9702
O 4.6160 0.5495 9.0648
O 2.7484 3.6631 9.2291
```

The following is a theoretical PXRD pattern of Na4TaGaSi3O12. It was derived from a GGA-PBE-relaxed structure, using Cu Kα, 1.54184 Å.
Kinematic intensities with the Lorentz-polarization factor, no thermal factor.

The 6 most intense peaks (2θ from 5° to 70°), sorted by position:
- 2θ 13.86, 6.391 Å, I = 32
- 2θ 19.64, 4.519 Å, I = 100
- 2θ 27.92, 3.196 Å, I = 25
- 2θ 31.28, 2.860 Å, I = 64
- 2θ 34.39, 2.608 Å, I = 47
- 2θ 47.16, 1.927 Å, I = 28

```
42
Lattice="4.5154 2.6070 7.3924 -4.5154 2.6070 7.3924 0.0000 -5.2139 7.3924" Properties=species:S:1:pos:R:3 pbc="T T T"
Na 0.0000 0.0000 0.0000
Na -1.1947 -2.5245 9.3051
Na -2.9265 -0.3101 13.0013
Na -1.5889 2.2969 9.3051
Na 0.0000 0.0000 11.0886
Na 1.7318 -2.3793 13.0013
Na 2.7836 0.2276 9.3051
Na 1.1947 2.6895 13.0013
Ta 0.0000 0.0000 3.3579
Ta 0.0000 0.0000 14.4465
Ga 0.0000 0.0000 7.8926
Ga 0.0000 0.0000 18.9812
Si -3.1725 -0.3508 9.3902
Si -1.3429 -2.9578 13.0864
Si 1.8901 -2.5720 9.3902
Si -1.8901 2.6419 13.0864
Si 1.2824 2.9229 9.3902
Si 3.2330 0.3159 13.0864
O -3.4183 -1.2783 10.6813
O -3.9186 1.1396 9.4791
O -2.9398 -2.7676 12.9250
O -0.6021 -1.6144 6.9851
O -1.5756 -0.1607 9.2288
O -0.5855 -3.6456 11.7607
O -1.0971 1.3287 6.9851
O 0.9724 -3.9634 9.4791
O -2.8644 2.3299 11.7607
O -0.5968 -1.4674 13.1753
O 0.9269 -1.2842 9.2289
O -1.6510 -0.2771 15.4569
O 1.6992 0.2857 6.9851
O -0.9724 1.2505 13.1753
O 0.6486 1.4448 9.2289
O 2.8162 -2.3212 10.6813
O -0.9269 3.9298 12.9250
O 1.0655 -1.2912 15.4569
O 0.6021 3.5995 10.6813
O 1.5692 0.2169 13.1753
O 0.5855 1.5684 15.4569
O 2.9462 2.8238 9.4791
O 3.8668 -1.1621 12.9250
O 3.4499 1.3157 11.7607
```